The following is a calculated powder X-ray diffraction pattern of Zn8CoAu2. It was derived from a crystal structure in Alexandria, relaxed with PBE, using Cu Kα (λ = 1.5418 Å).
Lines closer than 0.1° are merged.

Structure:
```
data_Zn8CoAu2
_chemical_formula_sum 'Zn16 Co2 Au4'
_symmetry_space_group_name_H-M 'I m m m'
_symmetry_Int_Tables_number 71
_symmetry_space_group_name_Hall '-I 2 2'
_cell_length_a 4.1671
_cell_length_b 7.0206
_cell_length_c 11.4338
_cell_angle_alpha 90.00
_cell_angle_beta 90.00
_cell_angle_gamma 90.00
loop_
_atom_site_label
_atom_site_fract_x
_atom_site_fract_y
_atom_site_fract_z
Zn1 0.0000 0.0000 0.1453
Zn2 0.0000 0.2207 0.3620
Zn3 0.0000 0.2836 0.0000
Co1 0.0000 0.5000 0.5000
Au1 0.0000 0.5000 0.1989
```

The 10 most intense peaks (15 to 90 degrees two-theta), in order of rising 2θ:
2θ = 15.50°, d 5.717, I 126, (0 0 2)
2θ = 24.85°, d 3.583, I 205, (1 1 0)
2θ = 26.61°, d 3.350, I 149, (0 1 3)
2θ = 29.87°, d 2.991, I 219, (0 2 2)
2θ = 40.36°, d 2.235, I 195, (1 1 4)
2θ = 41.13°, d 2.195, I 1000, (1 2 3)
2θ = 43.43°, d 2.084, I 294, (2 0 0)
2θ = 45.23°, d 2.005, I 157, (1 0 5)
2θ = 52.11°, d 1.755, I 132, (0 4 0)
2θ = 78.13°, d 1.223, I 144, (3 2 3)

The following is a calculated powder X-ray diffraction pattern of Cr4Au5. It was derived from a crystal structure in Alexandria, relaxed with PBE, using Cu Kα (λ = 1.5418 Å).
Lines closer than 0.1° are merged.

Structure:
```
data_Cr4Au5
_chemical_formula_sum 'Cr8 Au10'
_symmetry_space_group_name_H-M 'I 4/m m m'
_symmetry_Int_Tables_number 139
_symmetry_space_group_name_Hall '-I 4 2'
_cell_length_a 9.6203
_cell_length_b 9.6203
_cell_length_c 3.0535
_cell_angle_alpha 90.00
_cell_angle_beta 90.00
_cell_angle_gamma 90.00
loop_
_atom_site_label
_atom_site_fract_x
_atom_site_fract_y
_atom_site_fract_z
Cr1 0.0000 0.3641 0.0000
Au1 0.0000 0.0000 0.0000
Au2 0.1676 0.1676 0.5000
```

The 10 most intense peaks (15 to 90 degrees two-theta), in order of rising 2θ:
2θ = 26.20°, d 3.401, I 157, (2 2 0)
2θ = 36.07°, d 2.490, I 195, (2 1 1)
2θ = 39.75°, d 2.268, I 522, (3 3 0)
2θ = 40.81°, d 2.211, I 1000, (3 0 1)
2θ = 57.48°, d 1.603, I 168, (6 0 0)
2θ = 60.00°, d 1.542, I 90, (5 2 1)
2θ = 60.66°, d 1.527, I 79, (0 0 2)
2θ = 72.87°, d 1.298, I 325, (6 3 1)
2θ = 75.00°, d 1.266, I 162, (3 3 2)
2θ = 88.41°, d 1.106, I 106, (6 0 2)

The following is a calculated powder X-ray diffraction pattern of CrAu2. It was derived from a crystal structure in Alexandria, relaxed with PBE, using Cu Kα (λ = 1.5418 Å).
Lines closer than 0.1° are merged.

Structure:
```
data_CrAu2
_chemical_formula_sum 'Cr2 Au4'
_symmetry_space_group_name_H-M 'P 63/m m c'
_symmetry_Int_Tables_number 194
_symmetry_space_group_name_Hall '-P 6c 2c'
_cell_length_a 4.6508
_cell_length_b 4.6508
_cell_length_c 5.5835
_cell_angle_alpha 90.00
_cell_angle_beta 90.00
_cell_angle_gamma 120.00
loop_
_atom_site_label
_atom_site_fract_x
_atom_site_fract_y
_atom_site_fract_z
Cr1 0.3333 0.6667 0.2500
Au1 0.0000 0.0000 0.0000
Au2 0.3333 0.6667 0.7500
```

The 10 most intense peaks (15 to 90 degrees two-theta), in order of rising 2θ:
2θ = 22.07°, d 4.028, I 102, (1 0 0)
2θ = 27.30°, d 3.267, I 373, (1 0 1)
2θ = 38.72°, d 2.325, I 1000, (1 1 0)
2θ = 39.27°, d 2.294, I 999, (1 0 2)
2θ = 48.03°, d 1.894, I 87, (2 0 1)
2θ = 56.33°, d 1.633, I 350, (2 0 2)
2θ = 70.09°, d 1.343, I 175, (3 0 0)
2θ = 70.45°, d 1.337, I 361, (2 1 2)
2θ = 80.20°, d 1.197, I 245, (1 1 4)
2θ = 83.06°, d 1.163, I 113, (2 2 0)

The following is a calculated powder X-ray diffraction pattern of CrAu2. It was derived from a crystal structure in Alexandria, relaxed with PBE, using Cu Kα (λ = 1.5418 Å).
Lines closer than 0.1° are merged.

Structure:
```
data_CrAu2
_chemical_formula_sum 'Cr4 Au8'
_symmetry_space_group_name_H-M 'I 41/a m d'
_symmetry_Int_Tables_number 141
_cell_length_a 2.9908
_cell_length_b 2.9908
_cell_length_c 24.3114
_cell_angle_alpha 90.00
_cell_angle_beta 90.00
_cell_angle_gamma 90.00
loop_
_symmetry_equiv_pos_as_xyz
'x,y,z'
'-x,-y,-z'
'-y+1/4,x+3/4,z+1/4'
'y+1/4,-x+3/4,-z+1/4'
'-x+1/2,-y,z+1/2'
'x+1/2,y,-z+1/2'
'y+1/4,-x+1/4,z+3/4'
'-y+1/4,x+1/4,-z+3/4'
'x,-y,-z'
'-x,y,z'
'-y+1/4,-x+1/4,-z+3/4'
'y+1/4,x+1/4,z+3/4'
'-x+1/2,y,-z+1/2'
'x+1/2,-y,z+1/2'
'y+1/4,x+3/4,-z+1/4'
'-y+1/4,-x+3/4,z+1/4'
'x+1/2,y+1/2,z+1/2'
'-x+1/2,-y+1/2,-z+1/2'
'-y+3/4,x+1/4,z+3/4'
'y+3/4,-x+1/4,-z+3/4'
'-x,-y+1/2,z'
'x,y+1/2,-z'
'y+3/4,-x+3/4,z+1/4'
'-y+3/4,x+3/4,-z+1/4'
'x+1/2,-y+1/2,-z+1/2'
'-x+1/2,y+1/2,z+1/2'
'-y+3/4,-x+3/4,-z+1/4'
'y+3/4,x+3/4,z+1/4'
'-x,y+1/2,-z'
'x,-y+1/2,z'
'y+3/4,x+1/4,-z+3/4'
'-y+3/4,-x+1/4,z+3/4'
loop_
_atom_site_label
_atom_site_fract_x
_atom_site_fract_y
_atom_site_fract_z
Cr1 0.0000 0.2500 0.3750
Au1 0.0000 0.2500 0.8008
```

The 10 most intense peaks (15 to 90 degrees two-theta), in order of rising 2θ:
2θ = 29.39°, d 3.039, I 418, (0 0 8)
2θ = 30.11°, d 2.968, I 935, (1 0 1)
2θ = 35.23°, d 2.547, I 746, (1 0 5)
2θ = 39.77°, d 2.266, I 1000, (1 0 7)
2θ = 43.43°, d 2.084, I 653, (1 1 2)
2θ = 44.73°, d 2.026, I 232, (0 0 12)
2θ = 48.56°, d 1.875, I 592, (1 1 6)
2θ = 62.07°, d 1.495, I 273, (2 0 0)
2θ = 70.12°, d 1.342, I 516, (1 1 14)
2θ = 76.29°, d 1.248, I 299, (2 1 7)

The following is a calculated powder X-ray diffraction pattern of Cr5Au3. It was derived from a crystal structure in Alexandria, relaxed with PBE, using Cu Kα (λ = 1.5418 Å).
Lines closer than 0.1° are merged.

Structure:
```
data_Cr5Au3
_chemical_formula_sum 'Cr20 Au12'
_symmetry_space_group_name_H-M 'C 1 2/m 1'
_symmetry_Int_Tables_number 12
_symmetry_space_group_name_Hall '-C 2y'
_cell_length_a 5.2634
_cell_length_b 14.2962
_cell_length_c 7.7222
_cell_angle_alpha 90.00
_cell_angle_beta 109.86
_cell_angle_gamma 90.00
loop_
_atom_site_label
_atom_site_fract_x
_atom_site_fract_y
_atom_site_fract_z
Cr1 0.0814 0.1671 0.1885
Cr2 0.1304 0.4045 0.3364
Cr3 0.2286 0.5000 0.9545
Au1 0.0000 0.2442 0.5000
Au2 0.0000 0.3295 0.0000
Au3 0.1132 0.0000 0.3473
```

The 10 most intense peaks (15 to 90 degrees two-theta), in order of rising 2θ:
2θ = 25.76°, d 3.458, I 474, (1 1 1)
2θ = 25.96°, d 3.433, I 485, (1 3 0)
2θ = 27.55°, d 3.238, I 458, (0 2 2)
2θ = 27.82°, d 3.207, I 484, (0 4 1)
2θ = 36.31°, d 2.474, I 375, (2 0 0)
2θ = 38.51°, d 2.338, I 1000, (2 2 -2)
2θ = 39.29°, d 2.293, I 320, (0 2 3)
2θ = 39.82°, d 2.264, I 327, (0 6 1)
2θ = 40.20°, d 2.243, I 761, (1 3 -3)
2θ = 40.45°, d 2.230, I 636, (1 5 1)

The following is a calculated powder X-ray diffraction pattern of CrAu2. It was derived from a crystal structure in Alexandria, relaxed with PBE, using Cu Kα (λ = 1.5418 Å).
Lines closer than 0.1° are merged.

Structure:
```
data_CrAu2
_chemical_formula_sum 'Cr3 Au6'
_symmetry_space_group_name_H-M 'P -6 2 m'
_symmetry_Int_Tables_number 189
_symmetry_space_group_name_Hall 'P -6 -2'
_cell_length_a 7.7838
_cell_length_b 7.7838
_cell_length_c 2.9827
_cell_angle_alpha 90.00
_cell_angle_beta 90.00
_cell_angle_gamma 120.00
loop_
_atom_site_label
_atom_site_fract_x
_atom_site_fract_y
_atom_site_fract_z
Cr1 0.0000 0.0000 0.0000
Cr2 0.3333 0.6667 0.5000
Au1 0.0000 0.3007 0.5000
Au2 0.0000 0.6354 0.0000
```

The 10 most intense peaks (15 to 90 degrees two-theta), in order of rising 2θ:
2θ = 22.85°, d 3.892, I 296, (1 1 0)
2θ = 35.22°, d 2.548, I 150, (2 1 0)
2θ = 38.01°, d 2.367, I 1000, (1 1 1)
2θ = 40.13°, d 2.247, I 641, (3 0 0)
2θ = 40.38°, d 2.234, I 120, (2 0 1)
2θ = 56.46°, d 1.630, I 248, (2 2 1)
2θ = 62.25°, d 1.491, I 73, (0 0 2)
2θ = 68.32°, d 1.373, I 107, (3 2 1)
2θ = 71.51°, d 1.319, I 192, (4 1 1)
2θ = 76.69°, d 1.243, I 193, (3 0 2)

The following is a calculated powder X-ray diffraction pattern of CsCrAu. It was derived from a crystal structure in Alexandria, relaxed with PBE, using Cu Kα (λ = 1.5418 Å).
Lines closer than 0.1° are merged.

Structure:
```
data_CsCrAu
_chemical_formula_sum 'Cs4 Cr4 Au4'
_symmetry_space_group_name_H-M 'P n m a'
_symmetry_Int_Tables_number 62
_symmetry_space_group_name_Hall '-P 2ac 2n'
_cell_length_a 9.4132
_cell_length_b 3.2736
_cell_length_c 12.0082
_cell_angle_alpha 90.00
_cell_angle_beta 90.00
_cell_angle_gamma 90.00
loop_
_atom_site_label
_atom_site_fract_x
_atom_site_fract_y
_atom_site_fract_z
Cs1 0.0813 0.2500 0.1771
Cr1 0.0644 0.2500 0.5261
Au1 0.2366 0.7500 0.4168
```

The 10 most intense peaks (15 to 90 degrees two-theta), in order of rising 2θ:
2θ = 17.52°, d 5.062, I 652, (1 0 2)
2θ = 20.27°, d 4.382, I 467, (2 0 1)
2θ = 24.16°, d 3.684, I 626, (1 0 3)
2θ = 29.83°, d 2.995, I 1000, (1 1 1)
2θ = 31.27°, d 2.860, I 636, (1 0 4)
2θ = 32.19°, d 2.781, I 999, (3 0 2)
2θ = 32.57°, d 2.749, I 344, (1 1 2)
2θ = 34.19°, d 2.623, I 484, (2 1 1)
2θ = 35.43°, d 2.534, I 704, (0 1 3)
2θ = 40.47°, d 2.229, I 697, (2 1 3)

The following is a calculated powder X-ray diffraction pattern of CsCrTe6Au. It was derived from a crystal structure in Alexandria, relaxed with PBE, using Cu Kα (λ = 1.5418 Å).
Lines closer than 0.1° are merged.

Structure:
```
data_CsCrTe6Au
_chemical_formula_sum 'Cs4 Cr4 Te24 Au4'
_symmetry_space_group_name_H-M 'I m m a'
_symmetry_Int_Tables_number 74
_symmetry_space_group_name_Hall '-I 2b 2'
_cell_length_a 8.6260
_cell_length_b 9.4436
_cell_length_c 15.3363
_cell_angle_alpha 90.00
_cell_angle_beta 90.00
_cell_angle_gamma 90.00
loop_
_atom_site_label
_atom_site_fract_x
_atom_site_fract_y
_atom_site_fract_z
Cs1 0.0000 0.2500 0.1804
Cr1 0.0000 0.0000 0.5000
Te1 0.0000 0.2500 0.4177
Te2 0.0000 0.2500 0.9275
Te3 0.2320 0.0490 0.6181
Au1 0.2500 0.2500 0.7500
```

The 10 most intense peaks (15 to 90 degrees two-theta), in order of rising 2θ:
2θ = 23.41°, d 3.801, I 992, (2 1 1)
2θ = 27.15°, d 3.285, I 490, (1 1 4)
2θ = 28.02°, d 3.184, I 489, (2 2 0)
2θ = 30.02°, d 2.976, I 276, (0 2 4)
2θ = 33.43°, d 2.680, I 262, (0 3 3)
2θ = 36.69°, d 2.450, I 1000, (2 2 4)
2θ = 39.59°, d 2.277, I 407, (2 3 3)
2θ = 41.89°, d 2.156, I 349, (4 0 0)
2θ = 52.22°, d 1.752, I 257, (2 0 8)
2θ = 53.29°, d 1.719, I 273, (2 5 1)

The following is a calculated powder X-ray diffraction pattern of CrCu6Au12. It was derived from a crystal structure in Alexandria, relaxed with PBE, using Cu Kα (λ = 1.5418 Å).
Lines closer than 0.1° are merged.

Structure:
```
data_CrCu6Au12
_chemical_formula_sum 'Cr3 Cu18 Au36'
_symmetry_space_group_name_H-M 'R -3'
_symmetry_Int_Tables_number 148
_symmetry_space_group_name_Hall '-R 3'
_cell_length_a 11.3232
_cell_length_b 11.3232
_cell_length_c 9.0061
_cell_angle_alpha 90.00
_cell_angle_beta 90.00
_cell_angle_gamma 120.00
loop_
_atom_site_label
_atom_site_fract_x
_atom_site_fract_y
_atom_site_fract_z
Cr1 0.0000 0.0000 0.0000
Cu1 0.0319 0.8920 0.7127
Au1 0.0623 0.5926 0.6259
Au2 0.0668 0.5884 0.1165
```

The 10 most intense peaks (15 to 90 degrees two-theta), in order of rising 2θ:
2θ = 15.65°, d 5.662, I 215, (1 1 0)
2θ = 31.26°, d 2.862, I 1000, (1 2 2)
2θ = 38.68°, d 2.328, I 594, (3 1 2)
2θ = 42.23°, d 2.140, I 642, (4 1 0)
2θ = 44.27°, d 2.046, I 280, (0 2 4)
2θ = 45.05°, d 2.013, I 341, (5 -3 2)
2θ = 47.23°, d 1.924, I 228, (3 -1 4)
2θ = 53.47°, d 1.714, I 152, (6 -2 2)
2θ = 72.05°, d 1.311, I 155, (4 3 4)
2θ = 77.71°, d 1.229, I 223, (1 4 6)

The following is a calculated powder X-ray diffraction pattern of CrCu4Au2. It was derived from a crystal structure in Alexandria, relaxed with PBE, using Cu Kα (λ = 1.5418 Å).
Lines closer than 0.1° are merged.

Structure:
```
data_CrCu4Au2
_chemical_formula_sum 'Cr2 Cu8 Au4'
_symmetry_space_group_name_H-M 'I 4/m m m'
_symmetry_Int_Tables_number 139
_symmetry_space_group_name_Hall '-I 4 2'
_cell_length_a 4.5600
_cell_length_b 4.5600
_cell_length_c 12.7195
_cell_angle_alpha 90.00
_cell_angle_beta 90.00
_cell_angle_gamma 90.00
loop_
_atom_site_label
_atom_site_fract_x
_atom_site_fract_y
_atom_site_fract_z
Cr1 0.0000 0.0000 0.0000
Cu1 0.0000 0.0000 0.1913
Cu2 0.0000 0.5000 0.0000
Au1 0.0000 0.0000 0.3881
```

The 10 most intense peaks (15 to 90 degrees two-theta), in order of rising 2θ:
2θ = 20.69°, d 4.293, I 668, (1 0 1)
2θ = 27.67°, d 3.224, I 906, (1 1 0)
2θ = 39.52°, d 2.280, I 922, (2 0 0)
2θ = 39.81°, d 2.264, I 687, (1 1 4)
2θ = 40.61°, d 2.222, I 1000, (1 0 5)
2θ = 57.13°, d 1.612, I 305, (2 2 0)
2θ = 57.96°, d 1.591, I 729, (2 1 5)
2θ = 71.89°, d 1.313, I 244, (3 1 4)
2θ = 72.44°, d 1.305, I 256, (3 0 5)
2θ = 85.81°, d 1.132, I 283, (3 2 5)

The following is a calculated powder X-ray diffraction pattern of CrCu3Au12. It was derived from a crystal structure in Alexandria, relaxed with PBE, using Cu Kα (λ = 1.5418 Å).
Lines closer than 0.1° are merged.

Structure:
```
data_CrCu3Au12
_chemical_formula_sum 'Cr1 Cu3 Au12'
_symmetry_space_group_name_H-M 'P 4/m m m'
_symmetry_Int_Tables_number 123
_symmetry_space_group_name_Hall '-P 4 2'
_cell_length_a 4.0851
_cell_length_b 4.0851
_cell_length_c 16.2399
_cell_angle_alpha 90.00
_cell_angle_beta 90.00
_cell_angle_gamma 90.00
loop_
_atom_site_label
_atom_site_fract_x
_atom_site_fract_y
_atom_site_fract_z
Cr1 0.0000 0.0000 0.0000
Cu1 0.0000 0.0000 0.2530
Cu2 0.0000 0.0000 0.5000
Au1 0.0000 0.5000 0.1280
Au2 0.0000 0.5000 0.3765
Au3 0.5000 0.5000 0.0000
Au4 0.5000 0.5000 0.2525
Au5 0.5000 0.5000 0.5000
```

The 10 most intense peaks (15 to 90 degrees two-theta), in order of rising 2θ:
2θ = 21.76°, d 4.085, I 81, (1 0 0)
2θ = 31.02°, d 2.883, I 104, (1 1 0)
2θ = 38.24°, d 2.354, I 1000, (1 1 4)
2θ = 44.35°, d 2.043, I 331, (2 0 0)
2θ = 44.64°, d 2.030, I 161, (0 0 8)
2θ = 64.52°, d 1.444, I 109, (2 2 0)
2θ = 64.75°, d 1.440, I 213, (2 0 8)
2θ = 77.55°, d 1.231, I 260, (3 1 4)
2θ = 77.96°, d 1.225, I 126, (1 1 12)
2θ = 81.85°, d 1.177, I 113, (2 2 8)

The following is a calculated powder X-ray diffraction pattern of CrCuAu2. It was derived from a crystal structure in Alexandria, relaxed with PBE, using Cu Kα (λ = 1.5418 Å).
Lines closer than 0.1° are merged.

Structure:
```
data_CrCuAu2
_chemical_formula_sum 'Cr1 Cu1 Au2'
_symmetry_space_group_name_H-M 'P 4 m m'
_symmetry_Int_Tables_number 99
_symmetry_space_group_name_Hall 'P 4 -2'
_cell_length_a 3.3132
_cell_length_b 3.3132
_cell_length_c 5.8605
_cell_angle_alpha 90.00
_cell_angle_beta 90.00
_cell_angle_gamma 90.00
loop_
_atom_site_label
_atom_site_fract_x
_atom_site_fract_y
_atom_site_fract_z
Cr1 0.0000 0.0000 0.0000
Cu1 0.5000 0.5000 0.2355
Au1 0.0000 0.0000 0.4646
Au2 0.5000 0.5000 0.7575
```

The 10 most intense peaks (15 to 90 degrees two-theta), in order of rising 2θ:
2θ = 15.12°, d 5.861, I 237, (0 0 1)
2θ = 31.01°, d 2.884, I 448, (1 0 1)
2θ = 38.42°, d 2.343, I 642, (1 1 0)
2θ = 41.12°, d 2.195, I 1000, (1 0 2)
2θ = 55.47°, d 1.657, I 219, (2 0 0)
2θ = 61.84°, d 1.500, I 107, (1 1 3)
2θ = 64.91°, d 1.437, I 120, (2 1 1)
2θ = 71.33°, d 1.322, I 387, (2 1 2)
2θ = 76.72°, d 1.242, I 131, (1 1 4)
2θ = 89.25°, d 1.097, I 93, (2 0 4)